[1]
This entry pairs a crystal structure of Pr3Ge5Au6 with its theoretical XRD peak list. Radiation: CuKα. Structure: DFT lattice parameters and positions (GGA-PBE).
Peak positions follow from Bragg's law for the DFT cell and can differ from measured ones.

Structure:
Unit cell a=4.3935 b=13.2055 c=10.2267 alpha=90.00 beta=90.00 gamma=90.00
Space group Pmmn (No. 59, origin choice 2)
Asymmetric unit:
1 Pr 0.2500 0.0760 0.2460 (multiplicity 4)
2 Pr 0.2500 0.7500 0.2479 (multiplicity 2)
3 Ge 0.2500 0.0866 0.8625 (multiplicity 4)
4 Ge 0.2500 0.6208 0.5277 (multiplicity 4)
5 Ge 0.2500 0.7500 0.8046 (multiplicity 2)
6 Au 0.2500 0.0721 0.6138 (multiplicity 4)
7 Au 0.2500 0.2500 0.0163 (multiplicity 2)
8 Au 0.2500 0.2500 0.4585 (multiplicity 2)
9 Au 0.2500 0.5914 0.9915 (multiplicity 4)

Top 10 peaks for 10° ≤ 2θ ≤ 80°, in order of rising 2θ:
| 2theta | Rel. int. | hkl |
| --- | --- | --- |
| 17.34 | 13.9 | 0 0 2 |
| 30.04 | 21.0 | 1 3 1 |
| 33.25 | 38.9 | 0 3 3 |
| 33.73 | 100.0 | 1 3 2 |
| 36.01 | 13.8 | 1 2 3 |
| 41.05 | 61.2 | 2 0 0 |
| 45.95 | 17.2 | 1 3 4 |
| 53.82 | 17.8 | 2 3 3 |
| 59.45 | 18.6 | 2 6 0 |
| 70.18 | 12.2 | 3 3 2 |



[2]
This entry pairs a crystal structure of PrGe2Au10 with its theoretical XRD peak list. Radiation: CuKα. Structure: DFT lattice parameters and positions (GGA-PBE).
Peak positions follow from Bragg's law for the DFT cell and can differ from measured ones.

Structure:
Unit cell a=5.9773 b=12.9026 c=13.4627 alpha=90.00 beta=90.00 gamma=90.00
Space group Fmmm (No. 69)
Asymmetric unit:
1 Pr 0.0000 0.0000 0.0000 (multiplicity 4)
2 Ge 0.2500 0.0000 0.2500 (multiplicity 8)
3 Au 0.0000 0.1079 0.3898 (multiplicity 16)
4 Au 0.0000 0.1666 0.1704 (multiplicity 16)
5 Au 0.2500 0.2500 0.0000 (multiplicity 8)

Top 10 peaks for 10° ≤ 2θ ≤ 80°, in order of rising 2θ:
| 2theta | Rel. int. | hkl |
| --- | --- | --- |
| 29.90 | 34.2 | 2 0 0 |
| 32.49 | 45.5 | 1 3 3 |
| 35.70 | 53.5 | 2 2 2 |
| 37.28 | 50.8 | 1 1 5 |
| 38.63 | 100.0 | 0 4 4 |
| 40.36 | 47.9 | 2 0 4 |
| 41.18 | 48.3 | 2 4 0 |
| 42.39 | 17.1 | 1 3 5 |
| 62.12 | 18.0 | 4 0 0 |
| 68.05 | 28.5 | 2 6 6 |



[3]
This entry pairs a crystal structure of Pr2SnGe3Au4 with its theoretical XRD peak list. Radiation: CuKα. Structure: DFT lattice parameters and positions (GGA-PBE).
Peak positions follow from Bragg's law for the DFT cell and can differ from measured ones.

Structure:
Unit cell a=4.4568 b=4.4568 c=11.1505 alpha=90.00 beta=90.00 gamma=90.00
Space group P-4m2 (No. 115)
Asymmetric unit:
1 Pr 0.0000 0.5000 0.2285 (multiplicity 2)
2 Sn 0.0000 0.0000 0.5000 (multiplicity 1)
3 Ge 0.0000 0.5000 0.8714 (multiplicity 2)
4 Ge 0.5000 0.5000 0.5000 (multiplicity 1)
5 Au 0.0000 0.0000 0.0000 (multiplicity 1)
6 Au 0.0000 0.5000 0.6475 (multiplicity 2)
7 Au 0.5000 0.5000 0.0000 (multiplicity 1)

Top 10 peaks for 10° ≤ 2θ ≤ 80°, in order of rising 2θ:
| 2theta | Rel. int. | hkl |
| --- | --- | --- |
| 25.59 | 17.9 | 1 0 2 |
| 31.34 | 29.0 | 1 0 3 |
| 32.64 | 100.0 | 1 1 2 |
| 40.48 | 60.0 | 2 0 0 |
| 43.33 | 33.4 | 1 1 4 |
| 45.48 | 22.5 | 1 0 5 |
| 52.07 | 14.0 | 2 1 3 |
| 58.58 | 21.9 | 2 2 0 |
| 62.50 | 17.4 | 2 1 5 |
| 68.69 | 23.8 | 3 1 2 |



[4]
This entry pairs a crystal structure of Pr2ZnGe4Au3 with its theoretical XRD peak list. Radiation: CuKα. Structure: DFT lattice parameters and positions (GGA-PBE).
Peak positions follow from Bragg's law for the DFT cell and can differ from measured ones.

Structure:
Unit cell a=4.3381 b=4.3381 c=11.1126 alpha=90.00 beta=90.00 gamma=90.00
Space group P-4m2 (No. 115)
Asymmetric unit:
1 Pr 0.0000 0.5000 0.2408 (multiplicity 2)
2 Zn 0.5000 0.5000 0.0000 (multiplicity 1)
3 Ge 0.0000 0.0000 0.5000 (multiplicity 1)
4 Ge 0.0000 0.5000 0.8668 (multiplicity 2)
5 Ge 0.5000 0.5000 0.5000 (multiplicity 1)
6 Au 0.0000 0.0000 0.0000 (multiplicity 1)
7 Au 0.0000 0.5000 0.6405 (multiplicity 2)

Top 10 peaks for 10° ≤ 2θ ≤ 80°, in order of rising 2θ:
| 2theta | Rel. int. | hkl |
| --- | --- | --- |
| 26.06 | 26.0 | 1 0 2 |
| 31.77 | 58.4 | 1 0 3 |
| 33.37 | 100.0 | 1 1 2 |
| 41.64 | 67.6 | 2 0 0 |
| 43.97 | 32.2 | 1 1 4 |
| 45.88 | 41.1 | 1 0 5 |
| 53.30 | 27.3 | 2 1 3 |
| 60.35 | 22.5 | 2 2 0 |
| 63.67 | 30.9 | 2 1 5 |
| 70.74 | 22.5 | 3 1 2 |



[5]
This entry pairs a crystal structure of Pu2Ge2Au with its theoretical XRD peak list. Radiation: CuKα. Structure: DFT lattice parameters and positions (GGA-PBE).
Peak positions follow from Bragg's law for the DFT cell and can differ from measured ones.

Structure:
Unit cell a=7.0207 b=7.0207 c=8.9314 alpha=90.00 beta=90.00 gamma=90.00
Space group P4/mnc (No. 128)
Asymmetric unit:
1 Pu 0.1651 0.3348 0.0000 (multiplicity 8)
2 Ge 0.1342 0.6342 0.2500 (multiplicity 8)
3 Au 0.0000 0.0000 0.2503 (multiplicity 4)

Top 10 peaks for 10° ≤ 2θ ≤ 80°, in order of rising 2θ:
| 2theta | Rel. int. | hkl |
| --- | --- | --- |
| 26.85 | 28.6 | 1 1 2 |
| 28.43 | 22.5 | 2 1 0 |
| 32.44 | 46.6 | 2 0 2 |
| 34.93 | 100.0 | 2 1 2 |
| 40.40 | 26.1 | 0 0 4 |
| 40.64 | 41.4 | 3 1 0 |
| 57.97 | 15.0 | 4 1 2 |
| 58.64 | 28.6 | 3 1 4 |
| 59.58 | 16.6 | 3 3 2 |
| 69.94 | 13.7 | 2 1 6 |



[6]
This entry pairs a crystal structure of Pu4GeAu with its theoretical XRD peak list. Radiation: CuKα. Structure: DFT lattice parameters and positions (GGA-PBE).
Peak positions follow from Bragg's law for the DFT cell and can differ from measured ones.

Structure:
Unit cell a=5.2976 b=5.2976 c=18.3801 alpha=90.00 beta=90.00 gamma=120.00
Space group R-3m (No. 166, hexagonal axes)
Asymmetric unit:
1 Pu 0.0000 0.0000 0.1565 (multiplicity 6)
2 Pu 0.0000 0.0000 0.3329 (multiplicity 6)
3 Ge 0.0000 0.0000 0.0000 (multiplicity 3)
4 Au 0.0000 0.0000 0.5000 (multiplicity 3)

Top 10 peaks for 10° ≤ 2θ ≤ 80°, in order of rising 2θ:
| 2theta | Rel. int. | hkl |
| --- | --- | --- |
| 27.47 | 9.3 | 1 0 4 |
| 29.15 | 46.2 | 0 0 6 |
| 31.18 | 6.0 | 0 1 5 |
| 33.84 | 100.0 | 1 1 0 |
| 45.26 | 85.7 | 1 1 6 |
| 60.44 | 5.2 | 0 0 12 |
| 60.54 | 19.4 | 3 0 0 |
| 68.59 | 25.5 | 3 0 6 |
| 71.14 | 31.5 | 2 2 0 |
| 78.72 | 17.6 | 2 2 6 |



[7]
This entry pairs a crystal structure of Pu3GeAu3 with its theoretical XRD peak list. Radiation: CuKα. Structure: DFT lattice parameters and positions (GGA-PBE).
Peak positions follow from Bragg's law for the DFT cell and can differ from measured ones.

Structure:
Unit cell a=3.2393 b=4.8600 c=19.9966 alpha=90.00 beta=90.00 gamma=90.00
Space group Imm2 (No. 44)
Asymmetric unit:
1 Pu 0.0000 0.0000 0.0000 (multiplicity 2)
2 Pu 0.0000 0.0000 0.3907 (multiplicity 2)
3 Pu 0.0000 0.5000 0.1988 (multiplicity 2)
4 Ge 0.0000 0.5000 0.7638 (multiplicity 2)
5 Au 0.0000 0.0000 0.5507 (multiplicity 2)
6 Au 0.0000 0.0000 0.8408 (multiplicity 2)
7 Au 0.0000 0.5000 0.6319 (multiplicity 2)

Top 10 peaks for 10° ≤ 2θ ≤ 80°, in order of rising 2θ:
| 2theta | Rel. int. | hkl |
| --- | --- | --- |
| 26.75 | 16.2 | 0 0 6 |
| 34.46 | 100.0 | 1 1 2 |
| 35.67 | 46.2 | 1 0 5 |
| 36.48 | 79.9 | 0 1 7 |
| 36.99 | 49.8 | 0 2 0 |
| 37.92 | 23.1 | 1 1 4 |
| 52.33 | 31.8 | 1 2 5 |
| 65.04 | 17.5 | 1 3 2 |
| 69.46 | 25.2 | 2 1 7 |
| 70.98 | 16.8 | 1 2 11 |



[8]
This entry pairs a crystal structure of Pu4GeAu3 with its theoretical XRD peak list. Radiation: CuKα. Structure: DFT lattice parameters and positions (GGA-PBE).
Peak positions follow from Bragg's law for the DFT cell and can differ from measured ones.

Structure:
Unit cell a=3.1292 b=3.9395 c=15.0820 alpha=90.00 beta=90.02 gamma=90.00
Space group P2/m (No. 10)
Asymmetric unit:
1 Pu 0.0014 0.0000 0.1275 (multiplicity 2)
2 Pu 0.0010 0.0000 0.3845 (multiplicity 2)
3 Ge 0.5000 0.5000 0.5000 (multiplicity 1)
4 Au 0.4981 0.5000 0.7455 (multiplicity 2)
5 Au 0.5000 0.5000 0.0000 (multiplicity 1)

Top 10 peaks for 10° ≤ 2θ ≤ 80°, in order of rising 2θ:
| 2theta | Rel. int. | hkl |
| --- | --- | --- |
| 32.88 | 100.0 | 0 1 4 |
| 36.68 | 76.6 | 1 1 0 |
| 37.34 | 71.5 | 1 0 -4 |
| 46.08 | 20.4 | 0 2 0 |
| 48.27 | 16.4 | 0 0 8 |
| 59.04 | 9.9 | 2 0 0 |
| 60.75 | 35.6 | 1 2 -4 |
| 62.12 | 31.3 | 1 1 -8 |
| 68.95 | 11.5 | 0 2 8 |
| 69.25 | 24.3 | 2 1 -4 |



[9]
This entry pairs a crystal structure of Pu3Ge3Au8 with its theoretical XRD peak list. Radiation: CuKα. Structure: DFT lattice parameters and positions (GGA-PBE).
Peak positions follow from Bragg's law for the DFT cell and can differ from measured ones.

Structure:
Unit cell a=16.1334 b=4.6793 c=9.1937 alpha=90.00 beta=122.57 gamma=90.00
Space group C2/m (No. 12)
Asymmetric unit:
1 Pu 0.0000 0.0000 0.0000 (multiplicity 2)
2 Pu 0.2071 0.5000 0.7144 (multiplicity 4)
3 Ge 0.0000 0.0000 0.5000 (multiplicity 2)
4 Ge 0.1663 0.5000 0.3123 (multiplicity 4)
5 Au 0.0056 0.5000 0.3304 (multiplicity 4)
6 Au 0.1349 0.0000 0.8436 (multiplicity 4)
7 Au 0.1423 0.0000 0.4209 (multiplicity 4)
8 Au 0.1511 0.5000 0.0243 (multiplicity 4)

Top 10 peaks for 10° ≤ 2θ ≤ 80°, in order of rising 2θ:
| 2theta | Rel. int. | hkl |
| --- | --- | --- |
| 33.32 | 77.5 | 1 1 2 |
| 33.74 | 52.6 | 3 1 1 |
| 34.18 | 100.0 | 5 1 -2 |
| 34.32 | 21.4 | 5 1 -1 |
| 35.02 | 43.5 | 3 1 -3 |
| 37.11 | 32.4 | 1 1 -3 |
| 38.48 | 82.2 | 0 2 0 |
| 39.78 | 29.8 | 6 0 0 |
| 56.54 | 21.6 | 6 2 0 |
| 67.34 | 24.3 | 11 1 -4 |



[10]
This entry pairs a crystal structure of Pu3Ge2Au with its theoretical XRD peak list. Radiation: CuKα. Structure: DFT lattice parameters and positions (GGA-PBE).
Peak positions follow from Bragg's law for the DFT cell and can differ from measured ones.

Structure:
Unit cell a=3.8520 b=3.8520 c=8.4615 alpha=90.00 beta=90.00 gamma=90.00
Space group P4/mmm (No. 123)
Asymmetric unit:
1 Pu 0.0000 0.0000 0.0000 (multiplicity 1)
2 Pu 0.0000 0.0000 0.3018 (multiplicity 2)
3 Ge 0.5000 0.5000 0.1533 (multiplicity 2)
4 Au 0.5000 0.5000 0.5000 (multiplicity 1)

Top 10 peaks for 10° ≤ 2θ ≤ 80°, in order of rising 2θ:
| 2theta | Rel. int. | hkl |
| --- | --- | --- |
| 23.09 | 25.7 | 1 0 0 |
| 25.41 | 12.8 | 1 0 1 |
| 31.41 | 16.0 | 1 0 2 |
| 32.88 | 97.2 | 1 1 0 |
| 39.60 | 100.0 | 1 0 3 |
| 47.19 | 36.2 | 2 0 0 |
| 63.25 | 51.6 | 2 1 3 |
| 68.95 | 11.9 | 2 2 0 |
| 75.99 | 8.9 | 1 1 6 |
| 78.53 | 16.7 | 3 1 0 |



[11]
This entry pairs a crystal structure of RbGeAu3 with its theoretical XRD peak list. Radiation: CuKα. Structure: DFT lattice parameters and positions (GGA-PBE).
Peak positions follow from Bragg's law for the DFT cell and can differ from measured ones.

Structure:
Unit cell a=8.5263 b=15.1419 c=8.3681 alpha=90.00 beta=90.00 gamma=90.00
Space group Cmcm (No. 63)
Asymmetric unit:
1 Rb 0.0000 0.0365 0.2500 (multiplicity 4)
2 Rb 0.0000 0.3487 0.7500 (multiplicity 4)
3 Ge 0.1454 0.3969 0.2500 (multiplicity 8)
4 Au 0.1631 0.1744 0.5505 (multiplicity 16)
5 Au 0.1743 0.5000 0.0000 (multiplicity 8)

Top 10 peaks for 10° ≤ 2θ ≤ 80°, in order of rising 2θ:
| 2theta | Rel. int. | hkl |
| --- | --- | --- |
| 20.45 | 40.4 | 1 3 0 |
| 21.24 | 57.1 | 0 0 2 |
| 29.65 | 100.0 | 1 3 2 |
| 29.92 | 44.2 | 2 0 2 |
| 34.29 | 30.9 | 0 2 3 |
| 35.57 | 41.6 | 0 6 0 |
| 36.27 | 99.6 | 3 3 0 |
| 41.80 | 44.2 | 0 6 2 |
| 42.41 | 74.5 | 3 3 2 |
| 45.98 | 31.7 | 3 1 3 |



[12]
This entry pairs a crystal structure of GeRuAu with its theoretical XRD peak list. Radiation: CuKα. Structure: DFT lattice parameters and positions (GGA-PBE).
Peak positions follow from Bragg's law for the DFT cell and can differ from measured ones.

Structure:
Unit cell a=4.0420 b=2.8652 c=4.7806 alpha=90.00 beta=90.09 gamma=90.00
Space group P2/m (No. 10)
Asymmetric unit:
1 Ge 0.0000 0.0000 0.0000 (multiplicity 1)
2 Ru 0.5000 0.5000 0.0000 (multiplicity 1)
3 Au 0.5000 0.0000 0.5000 (multiplicity 1)

Top 10 peaks for 10° ≤ 2θ ≤ 80°, in order of rising 2θ:
| 2theta | Rel. int. | hkl |
| --- | --- | --- |
| 21.99 | 51.2 | 1 0 0 |
| 28.93 | 29.5 | 1 0 1 |
| 31.22 | 12.2 | 0 1 0 |
| 36.56 | 28.5 | 0 1 1 |
| 37.63 | 36.5 | 0 0 2 |
| 43.08 | 100.0 | 1 1 1 |
| 44.01 | 17.0 | 1 0 2 |
| 44.85 | 22.3 | 2 0 0 |
| 59.19 | 14.2 | 2 1 1 |
| 71.68 | 22.0 | 1 1 3 |